The following is a computed X-ray diffraction stick pattern of TbNi2Pt2. It was derived from a PBE-relaxed structure, using Cu Kα, 1.54184 Å.

Crystal structure
```
data_TbNi2Pt2
_chemical_formula_sum 'Tb4 Ni8 Pt8'
_space_group_name_H-M_alt 'I 4/m m m'
_space_group_IT_number 139
_space_group_name_Hall '-I 4 2'
_cell_length_a 3.9177
_cell_length_b 3.9177
_cell_length_c 22.1816
_cell_angle_alpha 90.00
_cell_angle_beta 90.00
_cell_angle_gamma 90.00
loop_
_atom_site_label
_atom_site_type_symbol
_atom_site_fract_x
_atom_site_fract_y
_atom_site_fract_z
_atom_site_occupancy
Tb1 Tb 0.0000 0.0000 0.1197 1
Ni1 Ni 0.0000 0.0000 0.4278 1
Ni2 Ni 0.0000 0.5000 0.2500 1
Pt1 Pt 0.0000 0.0000 0.3214 1
Pt2 Pt 0.0000 0.5000 0.0000 1
```

Top 10 peaks for 2θ = 10–90°, by angle:
d [Å], intensity
2.937, 40
2.688, 21
2.478, 100
2.086, 29
1.959, 76
1.630, 14
1.428, 17
1.385, 22
1.209, 21
1.131, 20